Calculated powder XRD pattern of BaH2O2 for Cu Kα, 1.54184 Å, from a structure optimized by DFT (GGA-PBE).
Neutral-atom scattering factors, no anomalous dispersion.

The 10 most intense peaks (2θ from 15° to 90°), most intense first:
two_theta	I/Imax
26.29	100
26.61	73
24.57	70
24.23	56
27.89	41
40.78	39
34.10	35
23.64	33
50.07	32
29.99	31

Crystal structure
```
data_BaH2O2
_symmetry_space_group_name_H-M 'P 1'
_symmetry_Int_Tables_number 1
_symmetry_space_group_name_Hall 'P 1'
_cell_length_a 7.380
_cell_length_b 7.527
_cell_length_c 11.414
_cell_angle_alpha 90.00
_cell_angle_beta 124.72
_cell_angle_gamma 90.00
loop_
_atom_site_label
_atom_site_type_symbol
_atom_site_fract_x
_atom_site_fract_y
_atom_site_fract_z
Ba1 Ba 0.019 0.047 0.330
Ba2 Ba 0.019 0.453 0.830
Ba3 Ba 0.325 0.594 0.598
Ba4 Ba 0.325 0.906 0.098
Ba5 Ba 0.675 0.094 0.902
Ba6 Ba 0.675 0.406 0.402
Ba7 Ba 0.981 0.547 0.170
Ba8 Ba 0.981 0.953 0.670
H1 H 0.187 0.221 0.616
H2 H 0.187 0.279 0.116
H3 H 0.269 0.221 0.821
H4 H 0.269 0.279 0.321
H5 H 0.427 0.020 0.614
H6 H 0.427 0.480 0.114
H7 H 0.428 0.733 0.908
H8 H 0.428 0.767 0.408
H9 H 0.572 0.233 0.592
H10 H 0.572 0.267 0.092
H11 H 0.573 0.520 0.886
H12 H 0.573 0.980 0.386
H13 H 0.731 0.721 0.679
H14 H 0.731 0.779 0.179
H15 H 0.813 0.721 0.884
H16 H 0.813 0.779 0.384
O1 O 0.103 0.183 0.124
O2 O 0.103 0.317 0.624
O3 O 0.293 0.684 0.823
O4 O 0.293 0.816 0.323
O5 O 0.303 0.155 0.906
O6 O 0.303 0.345 0.406
O7 O 0.306 0.521 0.120
O8 O 0.306 0.979 0.620
O9 O 0.694 0.021 0.380
O10 O 0.694 0.479 0.880
O11 O 0.697 0.655 0.594
O12 O 0.697 0.845 0.094
O13 O 0.707 0.184 0.677
O14 O 0.707 0.316 0.177
O15 O 0.897 0.683 0.376
O16 O 0.897 0.817 0.876
```

---

Calculated powder XRD pattern of Tb3Dy2Ho6 for Cu Kα, 1.54184 Å, from a structure optimized by DFT (GGA-PBE).
Neutral-atom scattering factors, no anomalous dispersion.

The 10 most intense peaks (2θ from 15° to 90°), most intense first:
two_theta	I/Imax
31.05	100
36.01	51
61.65	32
51.79	18
51.89	18
61.75	11
64.69	9
84.61	9
87.36	8
87.52	8

Crystal structure
```
data_Tb3Dy2Ho6
_symmetry_space_group_name_H-M 'P 1'
_symmetry_Int_Tables_number 1
_symmetry_space_group_name_Hall 'P 1'
_cell_length_a 31.688
_cell_length_b 31.688
_cell_length_c 31.688
_cell_angle_alpha 6.39
_cell_angle_beta 6.39
_cell_angle_gamma 6.39
loop_
_atom_site_label
_atom_site_type_symbol
_atom_site_fract_x
_atom_site_fract_y
_atom_site_fract_z
Tb1 Tb 0.000 0.000 0.000
Tb2 Tb 0.273 0.273 0.273
Tb3 Tb 0.727 0.727 0.727
Dy1 Dy 0.455 0.455 0.455
Dy2 Dy 0.545 0.545 0.545
Ho1 Ho 0.091 0.091 0.091
Ho2 Ho 0.182 0.182 0.182
Ho3 Ho 0.364 0.364 0.364
Ho4 Ho 0.636 0.636 0.636
Ho5 Ho 0.818 0.818 0.818
Ho6 Ho 0.909 0.909 0.909
```